Record 1
# Pm3PSe2
Theoretical X-ray diffraction stick pattern, copper Kα. Input: a cell relaxed with GGA-PBE.

Most intense lines, 10 to 80 degrees two-theta, by angle:
| two_theta | intensity | hkl |
| --- | --- | --- |
| 25.95 | 22 | 0 1 3 |
| 26.31 | 23 | 1 1 0 |
| 30.19 | 100 | 1 0 3 |
| 30.39 | 51 | 0 2 0 |
| 42.76 | 17 | 0 0 6 |
| 43.37 | 74 | 1 2 3 |
| 43.68 | 19 | 2 0 0 |
| 53.36 | 18 | 0 2 6 |
| 54.14 | 20 | 2 2 0 |
| 71.65 | 17 | 1 4 3 |

Structure:
```
data_Pm3PSe2
_chemical_formula_sum 'Pm6 P2 Se4'
_symmetry_space_group_name_H-M 'I m m m'
_symmetry_Int_Tables_number 71
_symmetry_space_group_name_Hall '-I 2 2'
_cell_length_a 4.1442
_cell_length_b 5.8830
_cell_length_c 12.6880
_cell_angle_alpha 90.00
_cell_angle_beta 90.00
_cell_angle_gamma 90.00
loop_
_atom_site_label
_atom_site_type_symbol
_atom_site_fract_x
_atom_site_fract_y
_atom_site_fract_z
Pm1 Pm 0.0000 0.0000 0.0000
Pm2 Pm 0.0000 0.0000 0.3465
P1 P 0.0000 0.5000 0.0000
Se1 Se 0.0000 0.5000 0.3303
```

Record 2
# PmPSe4
Theoretical X-ray diffraction stick pattern, copper Kα. Input: a cell relaxed with GGA-PBE.

Most intense lines, 10 to 80 degrees two-theta, by angle:
| two_theta | intensity | hkl |
| --- | --- | --- |
| 14.79 | 35 | 1 0 1 |
| 18.38 | 100 | 2 0 0 |
| 29.83 | 33 | 2 0 2 |
| 30.13 | 84 | 3 0 1 |
| 35.52 | 45 | 3 2 1 |
| 36.49 | 40 | 1 0 3 |
| 37.25 | 25 | 4 0 0 |
| 37.72 | 64 | 3 1 2 |
| 46.45 | 49 | 3 3 2 |
| 48.63 | 24 | 4 3 1 |

Structure:
```
data_PmPSe4
_chemical_formula_sum 'Pm4 P4 Se16'
_symmetry_space_group_name_H-M 'I 41/a m d'
_symmetry_Int_Tables_number 141
_cell_length_a 9.6559
_cell_length_b 9.6559
_cell_length_c 7.6387
_cell_angle_alpha 90.00
_cell_angle_beta 90.00
_cell_angle_gamma 90.00
loop_
_symmetry_equiv_pos_as_xyz
'x,y,z'
'-x,-y,-z'
'-y+1/4,x+3/4,z+1/4'
'y+1/4,-x+3/4,-z+1/4'
'-x+1/2,-y,z+1/2'
'x+1/2,y,-z+1/2'
'y+1/4,-x+1/4,z+3/4'
'-y+1/4,x+1/4,-z+3/4'
'x,-y,-z'
'-x,y,z'
'-y+1/4,-x+1/4,-z+3/4'
'y+1/4,x+1/4,z+3/4'
'-x+1/2,y,-z+1/2'
'x+1/2,-y,z+1/2'
'y+1/4,x+3/4,-z+1/4'
'-y+1/4,-x+3/4,z+1/4'
'x+1/2,y+1/2,z+1/2'
'-x+1/2,-y+1/2,-z+1/2'
'-y+3/4,x+1/4,z+3/4'
'y+3/4,-x+1/4,-z+3/4'
'-x,-y+1/2,z'
'x,y+1/2,-z'
'y+3/4,-x+3/4,z+1/4'
'-y+3/4,x+3/4,-z+1/4'
'x+1/2,-y+1/2,-z+1/2'
'-x+1/2,y+1/2,z+1/2'
'-y+3/4,-x+3/4,-z+1/4'
'y+3/4,x+3/4,z+1/4'
'-x,y+1/2,-z'
'x,-y+1/2,z'
'y+3/4,x+1/4,-z+3/4'
'-y+3/4,-x+1/4,z+3/4'
loop_
_atom_site_label
_atom_site_type_symbol
_atom_site_fract_x
_atom_site_fract_y
_atom_site_fract_z
Pm1 Pm 0.0000 0.2500 0.3750
P1 P 0.0000 0.2500 0.8750
Se1 Se 0.0000 0.0721 0.6849
```

Record 3
# Pm2PSe
Theoretical X-ray diffraction stick pattern, copper Kα. Input: a cell relaxed with GGA-PBE.

Most intense lines, 10 to 80 degrees two-theta, by angle:
| two_theta | intensity | hkl |
| --- | --- | --- |
| 26.04 | 28 | 0 1 2 |
| 26.32 | 30 | 1 1 0 |
| 30.28 | 100 | 1 0 2 |
| 30.40 | 51 | 0 2 0 |
| 43.00 | 17 | 0 0 4 |
| 43.44 | 74 | 1 2 2 |
| 43.70 | 19 | 2 0 0 |
| 53.57 | 18 | 0 2 4 |
| 54.17 | 20 | 2 2 0 |
| 71.73 | 17 | 1 4 2 |

Structure:
```
data_Pm2PSe
_chemical_formula_sum 'Pm4 P2 Se2'
_symmetry_space_group_name_H-M 'P m m n'
_symmetry_Int_Tables_number 59
_cell_length_a 4.1424
_cell_length_b 5.8797
_cell_length_c 8.4145
_cell_angle_alpha 90.00
_cell_angle_beta 90.00
_cell_angle_gamma 90.00
loop_
_symmetry_equiv_pos_as_xyz
'x,y,z'
'-x,-y,-z'
'-x+1/2,-y+1/2,z'
'x+1/2,y+1/2,-z'
'x+1/2,-y,-z'
'-x+1/2,y,z'
'-x,y+1/2,-z'
'x,-y+1/2,z'
loop_
_atom_site_label
_atom_site_type_symbol
_atom_site_fract_x
_atom_site_fract_y
_atom_site_fract_z
Pm1 Pm 0.2500 0.2500 0.1119
Pm2 Pm 0.2500 0.2500 0.6453
P1 P 0.2500 0.7500 0.1249
Se1 Se 0.2500 0.7500 0.6209
```